Record 1
Starting from a cell relaxed with GGA-PBE, the X-ray diffraction stick pattern of NaLi2PbF6 was calculated for λ = 1.5418 Å (Cu Kα).

Cell and atoms:
```
data_NaLi2PbF6
_chemical_formula_sum 'Na4 Li8 Pb4 F24'
_space_group_name_H-M_alt 'C 1 2/c 1'
_space_group_IT_number 15
_space_group_name_Hall '-C 2yc'
_cell_length_a 11.079
_cell_length_b 7.883
_cell_length_c 6.193
_cell_angle_alpha 90.00
_cell_angle_beta 111.27
_cell_angle_gamma 90.00
loop_
_atom_site_label
_atom_site_fract_x
_atom_site_fract_y
_atom_site_fract_z
_atom_site_occupancy
Na1 0.000 0.168 0.250 1
Li1 0.218 0.051 0.737 1
Pb1 0.000 0.334 0.750 1
F1 0.099 0.410 0.141 1
F2 0.122 0.075 0.952 1
F3 0.152 0.263 0.605 1
```

Peak list (10 most intense, 2θ = 10–80°, in order of rising 2θ)
14.14°, d = 6.265 Å, intensity 53, (1 1 0); 17.18°, d = 5.162 Å, intensity 100, (2 0 0); 18.47°, d = 4.805 Å, intensity 83, (1 1 -1); 23.14°, d = 3.844 Å, intensity 58, (1 1 1); 27.38°, d = 3.258 Å, intensity 65, (0 2 1); 29.29°, d = 3.049 Å, intensity 38, (2 2 -1); 35.25°, d = 2.546 Å, intensity 28, (1 3 0); 35.49°, d = 2.530 Å, intensity 31, (2 2 1); 39.90°, d = 2.260 Å, intensity 33, (4 2 -1); 49.86°, d = 1.829 Å, intensity 28, (2 2 -3)

Record 2
Starting from a cell relaxed with GGA-PBE, the X-ray diffraction stick pattern of Na2LiSnF8 was calculated for λ = 1.5418 Å (Cu Kα).

Cell and atoms:
```
data_Na2LiSnF8
_chemical_formula_sum 'Na2 Li1 Sn1 F8'
_space_group_name_H-M_alt 'P 1 2/m 1'
_space_group_IT_number 10
_space_group_name_Hall '-P 2y'
_cell_length_a 4.867
_cell_length_b 6.495
_cell_length_c 5.133
_cell_angle_alpha 90.00
_cell_angle_beta 90.36
_cell_angle_gamma 90.00
loop_
_atom_site_label
_atom_site_fract_x
_atom_site_fract_y
_atom_site_fract_z
_atom_site_occupancy
Na1 0.000 0.249 0.000 1
Li1 0.500 0.000 0.500 1
Sn1 0.500 0.500 0.500 1
F1 0.268 0.500 0.821 1
F2 0.269 0.266 0.366 1
F3 0.336 0.000 0.877 1
```

Peak list (10 most intense, 2θ = 10–80°, in order of rising 2θ)
13.63°, d = 6.495 Å, intensity 100, (0 1 0); 18.23°, d = 4.867 Å, intensity 44, (1 0 0); 22.07°, d = 4.027 Å, intensity 79, (0 1 1); 22.83°, d = 3.895 Å, intensity 41, (1 1 0); 25.14°, d = 3.543 Å, intensity 44, (1 0 -1); 25.30°, d = 3.521 Å, intensity 44, (1 0 1); 28.84°, d = 3.095 Å, intensity 42, (1 1 1); 33.16°, d = 2.701 Å, intensity 59, (1 2 0); 37.68°, d = 2.387 Å, intensity 42, (1 2 1); 50.19°, d = 1.818 Å, intensity 41, (2 2 1)

Record 3
Starting from a cell relaxed with GGA-PBE, the X-ray diffraction stick pattern of NaLi2TmF6 was calculated for λ = 1.5418 Å (Cu Kα).

Cell and atoms:
```
data_NaLi2TmF6
_chemical_formula_sum 'Na3 Li6 Tm3 F18'
_space_group_name_H-M_alt 'R 3'
_space_group_IT_number 146
_space_group_name_Hall 'R 3'
_cell_length_a 5.4284
_cell_length_b 5.4284
_cell_length_c 14.5457
_cell_angle_alpha 90.00
_cell_angle_beta 90.00
_cell_angle_gamma 120.00
loop_
_atom_site_label
_atom_site_fract_x
_atom_site_fract_y
_atom_site_fract_z
_atom_site_occupancy
Na1 0.0000 0.0000 0.0000 1
Li1 0.0000 0.0000 0.2845 1
Li2 0.0000 0.0000 0.7843 1
Tm1 0.0000 0.0000 0.4955 1
F1 0.0062 0.3630 0.5552 1
F2 0.0201 0.6213 0.0607 1
```

Peak list (10 most intense, 2θ = 10–80°, in order of rising 2θ)
18.30°, d = 4.849 Å, intensity 39, (0 0 3); 19.85°, d = 4.473 Å, intensity 96, (1 0 1); 22.52°, d = 3.948 Å, intensity 100, (0 1 2); 31.09°, d = 2.876 Å, intensity 53, (1 0 4); 33.00°, d = 2.714 Å, intensity 26, (1 1 0); 37.99°, d = 2.368 Å, intensity 47, (2 -1 3); 40.32°, d = 2.237 Å, intensity 30, (2 0 2); 45.97°, d = 1.974 Å, intensity 21, (0 2 4); 50.48°, d = 1.808 Å, intensity 39, (2 -1 6); 57.75°, d = 1.596 Å, intensity 21, (3 -1 4)